Simulated powder diffraction line list
Compound: CaB14Mo
Radiation: Cu Kα (weighted mean of Kα1 and Kα2)
Structure: the GGA-PBE geometry in Alexandria

Cell and atoms:
Lattice parameters (Å, degrees): 5.881 10.841 8.237 90.00 90.00 90.00
Space group Imma (No. 74)
Asymmetric unit:
Ca 0.000 0.250 0.134 (multiplicity 4)
B 0.000 0.081 0.670 (multiplicity 8)
B 0.000 0.123 0.874 (multiplicity 8)
B 0.000 0.167 0.469 (multiplicity 8)
B 0.159 0.063 0.338 (multiplicity 16)
B 0.246 0.078 0.547 (multiplicity 16)
Mo 0.250 0.250 0.750 (multiplicity 4)

Most intense lines, 10° ≤ 2θ ≤ 90°, low angle first:
- 13.5°, d = 6.558 Å, intensity 100.0
- 16.4°, d = 5.420 Å, intensity 48.1
- 21.6°, d = 4.118 Å, intensity 20.9
- 27.2°, d = 3.279 Å, intensity 32.0
- 33.4°, d = 2.683 Å, intensity 56.9
- 33.7°, d = 2.661 Å, intensity 25.4
- 39.8°, d = 2.263 Å, intensity 25.6
- 41.1°, d = 2.198 Å, intensity 52.9
- 41.3°, d = 2.188 Å, intensity 55.3
- 53.7°, d = 1.707 Å, intensity 15.2